(1)
For Cu7Pd3Pt, a cell relaxed with PBE gives the calculated powder diffraction line list in this record (Cu Ka).

Structure:
a b c (Å): 10.007 10.007 11.941
angles (deg): 90.00 90.00 164.65
Atoms (fractional coordinates):
Cu 0.035 0.965 0.584
Cu 0.035 0.965 0.916
Cu 0.094 0.906 0.102
Cu 0.094 0.906 0.398
Cu 0.112 0.888 0.750
Cu 0.223 0.777 0.082
Cu 0.223 0.777 0.418
Cu 0.777 0.223 0.582
Cu 0.777 0.223 0.918
Cu 0.888 0.112 0.250
Cu 0.906 0.094 0.602
Cu 0.906 0.094 0.898
Cu 0.965 0.035 0.084
Cu 0.965 0.035 0.416
Pd 0.330 0.670 0.750
Pd 0.351 0.649 0.068
Pd 0.351 0.649 0.432
Pd 0.649 0.351 0.568
Pd 0.649 0.351 0.932
Pd 0.670 0.330 0.250
Pt 0.481 0.519 0.750
Pt 0.519 0.481 0.250

Top 10 peaks for 2θ from 10° to 90°, low angle first:
Position (°2θ)  I/Imax
17.3  37
37.1  23
40.7  24
40.9  75
43.0  100
43.6  28
45.6  46
45.8  26
46.7  31
86.2  24



(2)
For BaTl2H8Rh, a cell relaxed with PBE gives the calculated powder diffraction line list in this record (Cu Ka).

Structure:
a b c (Å): 5.167 5.167 7.149
angles (deg): 90.00 90.00 120.00
Atoms (fractional coordinates):
Ba 0.000 0.000 0.000
Tl 0.333 0.667 0.334
Tl 0.667 0.333 0.666
H 0.148 0.296 0.646
H 0.148 0.852 0.646
H 0.296 0.148 0.354
H 0.333 0.667 0.010
H 0.667 0.333 0.990
H 0.704 0.852 0.646
H 0.852 0.148 0.354
H 0.852 0.704 0.354
Rh 0.000 0.000 0.500

Top 10 peaks for 2θ from 10° to 90°, low angle first:
Position (°2θ)  I/Imax
12.4  22
23.5  100
32.0  90
34.7  73
42.3  23
48.0  30
52.2  21
55.4  19
55.9  20
60.6  29



(3)
For TmTl3Cu2F9, a cell relaxed with PBE gives the calculated powder diffraction line list in this record (Cu Ka).

Structure:
a b c (Å): 6.072 6.072 7.574
angles (deg): 90.00 90.00 120.00
Atoms (fractional coordinates):
Tm 0.000 0.000 0.000
Tl 0.000 0.000 0.500
Tl 0.333 0.667 0.212
Tl 0.667 0.333 0.788
Cu 0.333 0.667 0.661
Cu 0.667 0.333 0.339
F 0.000 0.500 0.500
F 0.165 0.330 0.832
F 0.165 0.835 0.832
F 0.330 0.165 0.168
F 0.500 0.000 0.500
F 0.500 0.500 0.500
F 0.670 0.835 0.832
F 0.835 0.165 0.168
F 0.835 0.670 0.168

Top 10 peaks for 2θ from 10° to 90°, low angle first:
Position (°2θ)  I/Imax
20.6  26
29.1  100
29.4  98
36.2  19
41.8  60
52.0  41
52.2  21
60.2  12
61.0  19
69.0  18



(4)
For SrGa2Ni5, a cell relaxed with PBE gives the calculated powder diffraction line list in this record (Cu Ka).

Structure:
a b c (Å): 6.140 6.140 6.140
angles (deg): 144.26 113.70 77.66
Atoms (fractional coordinates):
Sr 0.000 0.000 0.000
Ga 0.258 0.758 0.500
Ga 0.742 0.242 0.500
Ni 0.178 0.361 0.817
Ni 0.456 0.639 0.817
Ni 0.500 0.000 0.500
Ni 0.544 0.361 0.183
Ni 0.822 0.639 0.183

Top 10 peaks for 2θ from 10° to 90°, low angle first:
Position (°2θ)  I/Imax
31.0  21
33.1  42
36.9  88
37.1  100
46.6  73
47.0  33
47.2  46
48.3  49
51.2  25
69.4  42